Computed PXRD pattern of LiCa7Ge3H3 for λ = 1.5418 Å (Cu Kα), from DFT lattice parameters and positions (GGA-PBE).
Kinematic intensities with the Lorentz-polarization factor, no thermal factor.

Principal peaks in the range 2θ from 10° to 90°, by angle:
h k l, d_spacing, Rel. int.
2 2 1, 3.641, 46
1 3 2, 3.009, 40
2 4 1, 2.681, 100
2 3 2, 2.661, 75
1 4 2, 2.604, 39
3 3 1, 2.553, 52
2 0 3, 2.508, 73
4 0 0, 2.465, 56
2 5 0, 2.399, 38
0 3 5, 1.633, 33

Atomic structure:
```
data_LiCa7Ge3H3
_space_group_name_H-M_alt 'P n m a'
_space_group_IT_number 62
_cell_length_a 9.8592
_cell_length_b 13.7315
_cell_length_c 8.7408
_cell_angle_alpha 90.00
_cell_angle_beta 90.00
_cell_angle_gamma 90.00
loop_
_space_group_symop_operation_xyz
'x,y,z'
'-x,-y,-z'
'-x+1/2,-y,z+1/2'
'x+1/2,y,-z+1/2'
'x+1/2,-y+1/2,-z+1/2'
'-x+1/2,y+1/2,z+1/2'
'-x,y+1/2,-z'
'x,-y+1/2,z'
loop_
_atom_site_label
_atom_site_fract_x
_atom_site_fract_y
_atom_site_fract_z
Li1 0.1354 0.2500 0.2448
Ca1 0.0900 0.1095 0.9449
Ca2 0.1127 0.6104 0.6705
Ca3 0.1156 0.7500 0.3044
Ca4 0.1858 0.1191 0.5456
Ge1 0.1059 0.7500 0.9241
Ge2 0.1318 0.5250 0.2886
H1 0.0301 0.2500 0.4553
H2 0.1287 0.2500 0.7488
H3 0.2455 0.2500 0.0348
```



Computed PXRD pattern of CoH6Cl2 for λ = 1.5418 Å (Cu Kα), from DFT lattice parameters and positions (GGA-PBE).
Kinematic intensities with the Lorentz-polarization factor, no thermal factor.

Principal peaks in the range 2θ from 10° to 90°, by angle:
h k l, d_spacing, Rel. int.
0 0 1, 5.267, 69
1 1 0, 4.919, 94
1 1 1, 3.386, 100
0 2 0, 3.146, 48
0 2 1, 2.701, 25
3 1 -1, 2.381, 21
1 1 2, 2.207, 17
3 1 -2, 1.980, 20
1 3 1, 1.859, 16
4 2 -1, 1.679, 11

Atomic structure:
```
data_CoH6Cl2
_space_group_name_H-M_alt 'C 1 2/m 1'
_space_group_IT_number 12
_cell_length_a 8.0591
_cell_length_b 6.2910
_cell_length_c 5.3803
_cell_angle_alpha 90.00
_cell_angle_beta 101.80
_cell_angle_gamma 90.00
loop_
_space_group_symop_operation_xyz
'x,y,z'
'-x,-y,-z'
'-x,y,-z'
'x,-y,z'
'x+1/2,y+1/2,z'
'-x+1/2,-y+1/2,-z'
'-x+1/2,y+1/2,-z'
'x+1/2,-y+1/2,z'
loop_
_atom_site_label
_atom_site_fract_x
_atom_site_fract_y
_atom_site_fract_z
Co1 0.0000 0.0000 0.0000
H1 0.0471 0.5000 0.5189
H2 0.1222 0.0654 0.2730
Cl1 0.2141 0.0000 0.8218
```



Computed PXRD pattern of Al2Au for λ = 1.5418 Å (Cu Kα), from DFT lattice parameters and positions (GGA-PBE).
Kinematic intensities with the Lorentz-polarization factor, no thermal factor.

Principal peaks in the range 2θ from 10° to 90°, by angle:
h k l, d_spacing, Rel. int.
1 1 1, 3.501, 100
2 0 0, 3.032, 27
2 2 0, 2.144, 65
3 1 1, 1.828, 50
2 2 2, 1.750, 8
4 0 0, 1.516, 11
3 3 1, 1.391, 21
4 2 0, 1.356, 10
4 2 2, 1.238, 23
5 1 1, 1.167, 16

Atomic structure:
```
data_Al2Au
_space_group_name_H-M_alt 'F m -3 m'
_space_group_IT_number 225
_space_group_name_Hall '-F 4 2 3'
_cell_length_a 6.0634
_cell_length_b 6.0634
_cell_length_c 6.0634
_cell_angle_alpha 90.00
_cell_angle_beta 90.00
_cell_angle_gamma 90.00
loop_
_atom_site_label
_atom_site_fract_x
_atom_site_fract_y
_atom_site_fract_z
Al1 0.2500 0.2500 0.2500
Au1 0.0000 0.0000 0.0000
```



Computed PXRD pattern of SiC for λ = 1.5418 Å (Cu Kα), from DFT lattice parameters and positions (GGA-PBE).
Kinematic intensities with the Lorentz-polarization factor, no thermal factor.

Principal peaks in the range 2θ from 10° to 90°, by angle:
h k l, d_spacing, Rel. int.
1 0 3, 2.650, 11
1 0 4, 2.627, 16
0 0 21, 2.529, 100
1 0 10, 2.393, 16
1 0 11, 2.344, 13
1 0 14, 2.189, 14
1 1 0, 1.548, 55
1 0 31, 1.444, 7
1 0 32, 1.412, 6
1 1 21, 1.320, 42

Atomic structure:
```
data_SiC
_space_group_name_H-M_alt 'P 3 m 1'
_space_group_IT_number 156
_cell_length_a 3.0949
_cell_length_b 3.0949
_cell_length_c 53.1366
_cell_angle_alpha 90.00
_cell_angle_beta 90.00
_cell_angle_gamma 120.00
loop_
_space_group_symop_operation_xyz
'x,y,z'
'-y,x-y,z'
'-x+y,-x,z'
'-y,-x,z'
'-x+y,y,z'
'x,x-y,z'
loop_
_atom_site_label
_atom_site_fract_x
_atom_site_fract_y
_atom_site_fract_z
Si1 0.0000 0.0000 0.0000
Si2 0.0000 0.0000 0.0953
Si3 0.0000 0.0000 0.2381
Si4 0.0000 0.0000 0.4286
Si5 0.0000 0.0000 0.5239
Si6 0.0000 0.0000 0.7143
Si7 0.0000 0.0000 0.8096
Si8 0.3333 0.6667 0.1429
Si9 0.3333 0.6667 0.2857
Si10 0.3333 0.6667 0.3810
Si11 0.3333 0.6667 0.5714
Si12 0.3333 0.6667 0.6667
Si13 0.3333 0.6667 0.8571
Si14 0.3333 0.6667 0.9524
Si15 0.6667 0.3333 0.0477
Si16 0.6667 0.3333 0.1905
Si17 0.6667 0.3333 0.3334
Si18 0.6667 0.3333 0.4762
Si19 0.6667 0.3333 0.6191
Si20 0.6667 0.3333 0.7619
Si21 0.6667 0.3333 0.9048
C1 0.0000 0.0000 0.0357
C2 0.0000 0.0000 0.1310
C3 0.0000 0.0000 0.2738
C4 0.0000 0.0000 0.4643
C5 0.0000 0.0000 0.5596
C6 0.0000 0.0000 0.7500
C7 0.0000 0.0000 0.8453
C8 0.3333 0.6667 0.1786
C9 0.3333 0.6667 0.3214
C10 0.3333 0.6667 0.4167
C11 0.3333 0.6667 0.6072
C12 0.3333 0.6667 0.7024
C13 0.3333 0.6667 0.8928
C14 0.3333 0.6667 0.9881
C15 0.6667 0.3333 0.0835
C16 0.6667 0.3333 0.2262
C17 0.6667 0.3333 0.3692
C18 0.6667 0.3333 0.5121
C19 0.6667 0.3333 0.6549
C20 0.6667 0.3333 0.7977
C21 0.6667 0.3333 0.9406
```



Computed PXRD pattern of CaP2O8 for λ = 1.5418 Å (Cu Kα), from DFT lattice parameters and positions (GGA-PBE).
Kinematic intensities with the Lorentz-polarization factor, no thermal factor.

Principal peaks in the range 2θ from 10° to 90°, by angle:
h k l, d_spacing, Rel. int.
0 2 0, 6.279, 100
1 0 0, 6.112, 42
1 1 0, 5.495, 41
1 1 -2, 4.211, 29
0 3 1, 3.623, 22
2 0 -2, 3.581, 29
2 1 -2, 3.448, 26
2 2 -1, 3.179, 28
1 4 0, 2.788, 40
3 2 -1, 2.200, 19

Atomic structure:
```
data_CaP2O8
_space_group_name_H-M_alt 'P 1 21/c 1'
_space_group_IT_number 14
_cell_length_a 7.5194
_cell_length_b 12.5501
_cell_length_c 8.9423
_cell_angle_alpha 90.00
_cell_angle_beta 125.63
_cell_angle_gamma 90.00
loop_
_space_group_symop_operation_xyz
'x,y,z'
'-x,-y,-z'
'-x,y+1/2,-z+1/2'
'x,-y+1/2,z+1/2'
loop_
_atom_site_label
_atom_site_fract_x
_atom_site_fract_y
_atom_site_fract_z
Ca1 0.1480 0.1152 0.1641
P1 0.0437 0.1031 0.7188
P2 0.3107 0.0159 0.5979
O1 0.0270 0.0574 0.8664
O2 0.1110 0.2162 0.7324
O3 0.1905 0.5908 0.9779
O4 0.2056 0.0227 0.7119
O5 0.2443 0.1094 0.4711
O6 0.2811 0.6549 0.5286
O7 0.4408 0.2198 0.1540
O8 0.4521 0.0117 0.2669
```



Computed PXRD pattern of TbSiRh for λ = 1.5418 Å (Cu Kα), from DFT lattice parameters and positions (GGA-PBE).
Kinematic intensities with the Lorentz-polarization factor, no thermal factor.

Principal peaks in the range 2θ from 10° to 90°, by angle:
h k l, d_spacing, Rel. int.
1 1 0, 3.884, 39
1 1 1, 3.107, 49
0 0 2, 2.588, 36
1 3 1, 2.341, 100
0 4 1, 2.264, 47
1 1 2, 2.154, 39
2 0 0, 2.105, 31
2 0 2, 1.633, 18
2 4 1, 1.542, 28
1 3 3, 1.442, 21

Atomic structure:
```
data_TbSiRh
_space_group_name_H-M_alt 'C m c m'
_space_group_IT_number 63
_space_group_name_Hall '-C 2c 2'
_cell_length_a 4.2099
_cell_length_b 10.0725
_cell_length_c 5.1758
_cell_angle_alpha 90.00
_cell_angle_beta 90.00
_cell_angle_gamma 90.00
loop_
_atom_site_label
_atom_site_fract_x
_atom_site_fract_y
_atom_site_fract_z
Tb1 0.0000 0.2133 0.2500
Si1 0.0000 0.5000 0.0000
Rh1 0.0000 0.0725 0.7500
```



Q: Number 1 is which compound?
A: LiCa7Ge3H3